Ho5Ir3: calculated powder X-ray diffraction pattern (Cu Kα X-rays), based on DFT lattice parameters and positions (PBE).

Cell and atoms:
Lattice parameters (Å, degrees): 8.281 8.281 6.188 90.00 90.00 120.00
Sites, in units of the cell vectors:
Ho 0.000 0.259 0.250
Ho 0.000 0.741 0.750
Ho 0.259 0.000 0.250
Ho 0.259 0.259 0.750
Ho 0.333 0.667 0.000
Ho 0.333 0.667 0.500
Ho 0.667 0.333 0.000
Ho 0.667 0.333 0.500
Ho 0.741 0.000 0.750
Ho 0.741 0.741 0.250
Ir 0.000 0.390 0.750
Ir 0.000 0.610 0.250
Ir 0.390 0.000 0.750
Ir 0.390 0.390 0.250
Ir 0.610 0.000 0.250
Ir 0.610 0.610 0.750

The 10 most intense peaks (2θ from 10° to 80°), sorted by position:
| d/Å | 2theta | Rel. int. | hkl |
| --- | --- | --- | --- |
| 7.171 | 12.34 | 8 | 1 0 0 |
| 3.094 | 28.85 | 14 | 0 0 2 |
| 2.710 | 33.05 | 12 | 2 1 0 |
| 2.481 | 36.21 | 100 | 1 1 2 |
| 2.390 | 37.63 | 33 | 3 0 0 |
| 1.893 | 48.06 | 15 | 3 1 1 |
| 1.721 | 53.24 | 10 | 2 2 2 |
| 1.641 | 56.02 | 14 | 2 1 3 |
| 1.301 | 72.66 | 7 | 5 0 2 |
| 1.299 | 72.82 | 10 | 3 0 4 |